Computed X-ray powder pattern
Compound: DyMg6Cd6
Radiation: Cu Kα (λ = 1.5418 Å)
Structure: a GGA-PBE-relaxed structure

Top 10 peaks for 2θ = 10–80°, sorted by position:
2θ/deg  I/Imax
12.54  31
17.82  46
25.05  49
25.23  27
35.38  93
35.84  100
36.10  30
39.87  47
40.31  20
51.43  28

```
data_DyMg6Cd6
_chemical_formula_sum 'Dy1 Mg6 Cd6'
_cell_length_a 7.650
_cell_length_b 7.650
_cell_length_c 7.650
_cell_angle_alpha 134.72
_cell_angle_beta 98.85
_cell_angle_gamma 98.19
_symmetry_space_group_name_H-M 'P 1'
_symmetry_Int_Tables_number 1
loop_
_symmetry_equiv_pos_as_xyz
'x,y,z'
loop_
_atom_site_label
_atom_site_type_symbol
_atom_site_fract_x
_atom_site_fract_y
_atom_site_fract_z
Dy1 Dy 0.000 0.000 0.000
Mg1 Mg 0.208 0.708 0.500
Mg2 Mg 0.349 0.349 0.000
Mg3 Mg 0.350 0.000 0.350
Mg4 Mg 0.650 0.000 0.650
Mg5 Mg 0.651 0.651 0.000
Mg6 Mg 0.792 0.292 0.500
Cd1 Cd 0.000 0.000 0.500
Cd2 Cd 0.000 0.500 0.000
Cd3 Cd 0.212 0.500 0.712
Cd4 Cd 0.500 0.000 0.000
Cd5 Cd 0.500 0.500 0.500
Cd6 Cd 0.788 0.500 0.288
```


Computed X-ray powder pattern
Compound: Dy11Mg9Cd4
Radiation: Cu Kα (λ = 1.5418 Å)
Structure: a GGA-PBE-relaxed structure

Top 10 peaks for 2θ = 10–80°, sorted by position:
2θ/deg  I/Imax
23.28  26
23.63  29
23.82  25
33.41  100
33.55  97
33.80  94
41.45  23
59.64  36
60.13  28
60.41  30

```
data_Dy11Mg9Cd4
_chemical_formula_sum 'Dy11 Mg9 Cd4'
_cell_length_a 13.500
_cell_length_b 13.500
_cell_length_c 3.821
_cell_angle_alpha 90.00
_cell_angle_beta 90.00
_cell_angle_gamma 112.19
_symmetry_space_group_name_H-M 'P 1'
_symmetry_Int_Tables_number 1
loop_
_symmetry_equiv_pos_as_xyz
'x,y,z'
loop_
_atom_site_label
_atom_site_type_symbol
_atom_site_fract_x
_atom_site_fract_y
_atom_site_fract_z
Dy1 Dy 0.000 0.000 0.000
Dy2 Dy 0.069 0.412 0.000
Dy3 Dy 0.168 0.832 0.000
Dy4 Dy 0.259 0.259 0.000
Dy5 Dy 0.349 0.651 0.000
Dy6 Dy 0.412 0.069 0.000
Dy7 Dy 0.588 0.931 0.000
Dy8 Dy 0.651 0.349 0.000
Dy9 Dy 0.741 0.741 0.000
Dy10 Dy 0.832 0.168 0.000
Dy11 Dy 0.931 0.588 0.000
Mg1 Mg 0.045 0.206 0.500
Mg2 Mg 0.142 0.626 0.500
Mg3 Mg 0.206 0.045 0.500
Mg4 Mg 0.374 0.858 0.500
Mg5 Mg 0.500 0.500 0.500
Mg6 Mg 0.626 0.142 0.500
Mg7 Mg 0.794 0.955 0.500
Mg8 Mg 0.858 0.374 0.500
Mg9 Mg 0.955 0.794 0.500
Cd1 Cd 0.265 0.449 0.500
Cd2 Cd 0.449 0.265 0.500
Cd3 Cd 0.551 0.735 0.500
Cd4 Cd 0.735 0.551 0.500
```


Computed X-ray powder pattern
Compound: Dy6MgCd2
Radiation: Cu Kα (λ = 1.5418 Å)
Structure: a GGA-PBE-relaxed structure

Top 10 peaks for 2θ = 10–80°, sorted by position:
2θ/deg  I/Imax
24.35  18
28.51  17
30.45  87
32.61  64
33.45  100
34.47  51
39.59  22
53.49  24
55.22  21
55.66  15

```
data_Dy6MgCd2
_chemical_formula_sum 'Dy12 Mg2 Cd4'
_cell_length_a 8.816
_cell_length_b 8.816
_cell_length_c 8.816
_cell_angle_alpha 112.04
_cell_angle_beta 108.77
_cell_angle_gamma 107.64
_symmetry_space_group_name_H-M 'P 1'
_symmetry_Int_Tables_number 1
loop_
_symmetry_equiv_pos_as_xyz
'x,y,z'
loop_
_atom_site_label
_atom_site_type_symbol
_atom_site_fract_x
_atom_site_fract_y
_atom_site_fract_z
Dy1 Dy 0.052 0.231 0.821
Dy2 Dy 0.252 0.300 0.552
Dy3 Dy 0.252 0.700 0.952
Dy4 Dy 0.266 0.586 0.320
Dy5 Dy 0.266 0.946 0.680
Dy6 Dy 0.409 0.231 0.179
Dy7 Dy 0.591 0.769 0.821
Dy8 Dy 0.734 0.054 0.320
Dy9 Dy 0.734 0.414 0.680
Dy10 Dy 0.748 0.300 0.048
Dy11 Dy 0.748 0.700 0.448
Dy12 Dy 0.948 0.769 0.179
Mg1 Mg 0.000 0.500 0.500
Mg2 Mg 0.500 0.500 0.000
Cd1 Cd 0.000 0.144 0.144
Cd2 Cd 0.000 0.856 0.856
Cd3 Cd 0.365 0.000 0.365
Cd4 Cd 0.635 0.000 0.635
```